Diffraction record for Li4Ti5Nb3O16. The powder diffractogram is computed, not measured: it uses a DFT-relaxed cell (PBE, the Materials Project) and CuKα.
Kinematic intensities with the Lorentz-polarization factor, no thermal factor.

The 10 most intense peaks (10 to 80 degrees two-theta), low angle first:
h k l, 2theta, I (rel.)
0 0 2, 17.97, 802
2 0 1, 19.37, 1000
2 0 -2, 24.92, 268
2 0 -3, 32.23, 374
3 1 2, 35.11, 406
2 2 1, 35.91, 407
2 2 2, 39.35, 248
2 2 -3, 44.57, 405
4 0 5, 58.81, 295
6 2 0, 62.07, 229

Atomic structure:
abc: 10.3699 5.9635 9.8728
angles: 90.00 90.09 90.00
Space group Cm (No. 8)
Symmetry-distinct sites (fractional):
1 Li 0.0000 0.0000 0.0000 x2
2 Li 0.0004 0.0000 0.4958 x2
3 Li 0.1734 0.5000 0.6011 x2
4 Li 0.3385 0.0000 0.0900 x2
5 Ti 0.1749 0.5000 0.9982 x2
6 Ti 0.3306 0.5000 0.2712 x2
7 Ti 0.3369 0.0000 0.4964 x2
8 Ti 0.4206 0.2434 0.7741 x4
9 Nb 0.0928 0.2801 0.2777 x4
10 Nb 0.1784 0.0000 0.7774 x2
11 O 0.0024 0.0000 0.1818 x2
12 O 0.0019 0.0000 0.6778 x2
13 O 0.0217 0.5000 0.1311 x2
14 O 0.0908 0.2497 0.8934 x4
15 O 0.1753 0.0000 0.4006 x2
16 O 0.1908 0.5000 0.4113 x2
17 O 0.2488 0.2771 0.1447 x4
18 O 0.2691 0.2218 0.6478 x4
19 O 0.3397 0.5000 0.8898 x2
20 O 0.3466 0.0000 0.8891 x2
21 O 0.4216 0.2468 0.3957 x4
22 O 0.4858 0.0000 0.6553 x2

Diffraction record for Li7Ti7Nb5O30. The powder diffractogram is computed, not measured: it uses a DFT-relaxed cell (PBE, the Materials Project) and CuKα.
Kinematic intensities with the Lorentz-polarization factor, no thermal factor.

The 10 most intense peaks (10 to 80 degrees two-theta), low angle first:
h k l, 2theta, I (rel.)
0 1 2, 21.21, 267
1 0 3, 22.81, 1000
1 0 4, 24.89, 313
0 1 6, 30.09, 189
0 1 7, 33.07, 339
1 1 0, 34.73, 370
2 -1 5, 39.69, 191
2 0 7, 48.71, 188
1 1 10, 52.23, 469
3 0 0, 62.25, 215

Atomic structure:
abc: 5.1664 5.1664 23.8262
angles: 90.00 90.00 120.00
Space group P3 (No. 143)
Symmetry-distinct sites (fractional):
1 Li 0.0000 0.0000 0.0000 x1
2 Li 0.0000 0.0000 0.1573 x1
3 Li 0.0000 0.0000 0.4503 x1
4 Li 0.0000 0.0000 0.7049 x1
5 Li 0.3333 0.6667 0.3517 x1
6 Li 0.3333 0.6667 0.6060 x1
7 Li 0.6667 0.3333 0.2795 x1
8 Ti 0.3333 0.6667 0.0882 x1
9 Ti 0.3333 0.6667 0.7679 x1
10 Ti 0.3333 0.6667 0.9625 x1
11 Ti 0.6667 0.3333 0.0583 x1
12 Ti 0.6667 0.3333 0.1813 x1
13 Ti 0.6667 0.3333 0.6669 x1
14 Ti 0.6667 0.3333 0.7908 x1
15 Nb 0.0000 0.0000 0.2797 x1
16 Nb 0.0000 0.0000 0.5787 x1
17 Nb 0.0000 0.0000 0.8762 x1
18 Nb 0.3333 0.6667 0.4812 x1
19 Nb 0.6667 0.3333 0.3854 x1
20 O 0.0044 0.6716 0.8219 x3
21 O 0.0093 0.6387 0.4282 x3
22 O 0.0227 0.6336 0.0255 x3
23 O 0.0554 0.3263 0.9241 x3
24 O 0.0599 0.3329 0.5295 x3
25 O 0.3288 0.2947 0.6306 x3
26 O 0.3323 0.2537 0.2251 x3
27 O 0.3398 0.0452 0.3294 x3
28 O 0.3865 0.0216 0.1207 x3
29 O 0.3971 0.0170 0.7304 x3

Diffraction record for Li3Ti2NbO6. The powder diffractogram is computed, not measured: it uses a DFT-relaxed cell (PBE, the Materials Project) and CuKα.
Kinematic intensities with the Lorentz-polarization factor, no thermal factor.

The 10 most intense peaks (10 to 80 degrees two-theta), low angle first:
h k l, 2theta, I (rel.)
2 0 0, 13.96, 123
0 0 1, 15.18, 92
2 0 -1, 17.38, 1000
4 0 1, 35.92, 418
3 1 0, 37.32, 96
1 1 -2, 42.80, 746
5 1 -1, 46.43, 124
3 1 -3, 55.55, 84
7 1 -2, 60.54, 150
5 1 2, 63.67, 124

Atomic structure:
abc: 13.2694 2.9315 6.1025
angles: 90.00 107.01 90.00
Space group C2/m (No. 12)
Symmetry-distinct sites (fractional):
1 Li 0.0000 0.0000 0.0000 x2
2 Li 0.1685 0.5000 0.3242 x4
3 Ti 0.1585 0.5000 0.8183 x4
4 Nb 0.0000 0.0000 0.5000 x2
5 O 0.0009 0.5000 0.2358 x4
6 O 0.1715 0.0000 0.5940 x4
7 O 0.1749 0.0000 0.0627 x4

Please write out number 2 again, unchanged.
Diffraction record for Li7Ti7Nb5O30. The powder diffractogram is computed, not measured: it uses a DFT-relaxed cell (PBE, the Materials Project) and CuKα.
Kinematic intensities with the Lorentz-polarization factor, no thermal factor.

The 10 most intense peaks (10 to 80 degrees two-theta), low angle first:
h k l, 2theta, I (rel.)
0 1 2, 21.21, 267
1 0 3, 22.81, 1000
1 0 4, 24.89, 313
0 1 6, 30.09, 189
0 1 7, 33.07, 339
1 1 0, 34.73, 370
2 -1 5, 39.69, 191
2 0 7, 48.71, 188
1 1 10, 52.23, 469
3 0 0, 62.25, 215

Atomic structure:
abc: 5.1664 5.1664 23.8262
angles: 90.00 90.00 120.00
Space group P3 (No. 143)
Symmetry-distinct sites (fractional):
1 Li 0.0000 0.0000 0.0000 x1
2 Li 0.0000 0.0000 0.1573 x1
3 Li 0.0000 0.0000 0.4503 x1
4 Li 0.0000 0.0000 0.7049 x1
5 Li 0.3333 0.6667 0.3517 x1
6 Li 0.3333 0.6667 0.6060 x1
7 Li 0.6667 0.3333 0.2795 x1
8 Ti 0.3333 0.6667 0.0882 x1
9 Ti 0.3333 0.6667 0.7679 x1
10 Ti 0.3333 0.6667 0.9625 x1
11 Ti 0.6667 0.3333 0.0583 x1
12 Ti 0.6667 0.3333 0.1813 x1
13 Ti 0.6667 0.3333 0.6669 x1
14 Ti 0.6667 0.3333 0.7908 x1
15 Nb 0.0000 0.0000 0.2797 x1
16 Nb 0.0000 0.0000 0.5787 x1
17 Nb 0.0000 0.0000 0.8762 x1
18 Nb 0.3333 0.6667 0.4812 x1
19 Nb 0.6667 0.3333 0.3854 x1
20 O 0.0044 0.6716 0.8219 x3
21 O 0.0093 0.6387 0.4282 x3
22 O 0.0227 0.6336 0.0255 x3
23 O 0.0554 0.3263 0.9241 x3
24 O 0.0599 0.3329 0.5295 x3
25 O 0.3288 0.2947 0.6306 x3
26 O 0.3323 0.2537 0.2251 x3
27 O 0.3398 0.0452 0.3294 x3
28 O 0.3865 0.0216 0.1207 x3
29 O 0.3971 0.0170 0.7304 x3